The following is a simulated PXRD pattern of Sc2Mo2O. It was derived from a structure optimized by DFT (PBE+U), using Cu Kα, 1.54184 Å.
Intensities are scaled so that the largest is 100.

Crystal structure
```
data_Sc2Mo2O
_chemical_formula_sum 'Sc4 Mo4 O2'
_cell_length_a 5.8047
_cell_length_b 5.8047
_cell_length_c 5.4207
_cell_angle_alpha 90.00
_cell_angle_beta 90.00
_cell_angle_gamma 90.00
_space_group_name_H-M_alt 'P 4/m b m'
_space_group_IT_number 127
_space_group_name_Hall '-P 4 2ab'
loop_
_atom_site_label
_atom_site_type_symbol
_atom_site_fract_x
_atom_site_fract_y
_atom_site_fract_z
Sc1 Sc 0.1776 0.3224 0.0000
Mo1 Mo 0.1516 0.6516 0.5000
O1 O 0.0000 0.0000 0.0000
```

Principal peaks in the range 2θ from 15° to 90°, in order of rising 2θ:
| d [Å] | I (rel.) | index |
| --- | --- | --- |
| 5.421 | 17.0 | 0 0 1 |
| 2.710 | 38.3 | 0 0 2 |
| 2.341 | 100.0 | 2 1 1 |
| 1.836 | 13.2 | 3 1 0 |
| 1.520 | 13.7 | 3 1 2 |
| 1.483 | 22.1 | 2 1 3 |